For Er5Se8, a DFT-relaxed cell (PBE, Alexandria) gives the computed powder XRD pattern in this record (λ = 1.5418 Å (Cu Kα)).
Peak positions follow from Bragg's law for the DFT cell and can differ from measured ones.

Largest 10 diffraction maxima, sorted by position, 10° ≤ 2θ ≤ 90°:
2theta, d_spacing, Rel. int.
13.27, 6.673, 83.1
25.16, 3.539, 36.5
28.40, 3.143, 48.4
28.69, 3.111, 100.0
36.68, 2.450, 34.0
36.80, 2.443, 47.1
37.26, 2.413, 64.6
37.60, 2.392, 25.7
44.23, 2.048, 30.3
44.52, 2.035, 60.8

Cell and atoms:
Cell lengths 7.8317, 7.8317, 9.5828 Å; angles 125.37, 125.37, 63.06 degrees
Positions (direct):
Er 0.0000 0.0000 0.0000
Er 0.2593 0.7407 0.5000
Er 0.2775 0.2775 0.0061
Er 0.7225 0.7225 0.9939
Er 0.7407 0.2593 0.5000
Se 0.0160 0.0160 0.3130
Se 0.0176 0.5552 0.8315
Se 0.4448 0.9824 0.1685
Se 0.4539 0.4539 0.6578
Se 0.5461 0.5461 0.3422
Se 0.5552 0.0176 0.8315
Se 0.9824 0.4448 0.1685
Se 0.9840 0.9840 0.6870